This entry pairs a crystal structure of CsInHgSb2 with its theoretical X-ray powder pattern. Radiation: CuKα. Structure: a structure optimized by DFT (GGA-PBE).

Top 10 peaks for 2θ = 15–90°, sorted by position:
24.40°, 3.649 Å, rel. 100, hkl 1 1 1
24.86°, 3.582 Å, rel. 45, hkl 1 0 -2
27.30°, 3.267 Å, rel. 58, hkl 1 2 0
27.84°, 3.205 Å, rel. 24, hkl 1 1 -2
30.10°, 2.969 Å, rel. 47, hkl 2 1 -2
33.78°, 2.654 Å, rel. 31, hkl 2 2 0
36.07°, 2.490 Å, rel. 24, hkl 1 1 2
36.18°, 2.483 Å, rel. 24, hkl 3 1 -2
42.65°, 2.120 Å, rel. 32, hkl 3 2 0
43.43°, 2.083 Å, rel. 26, hkl 0 1 3

Structure:
abc: 8.6446 7.1797 7.1635
angles: 90.00 114.28 90.00
Positions (direct):
Cs 0.0000 0.2366 0.2500
Cs 0.0000 0.7634 0.7500
In 0.5000 0.5001 0.2500
In 0.5000 0.4999 0.7500
Hg 0.5000 0.0000 0.0000
Hg 0.5000 0.0000 0.5000
Sb 0.2750 0.2882 0.8884
Sb 0.2750 0.7118 0.3884
Sb 0.7250 0.2882 0.6116
Sb 0.7250 0.7118 0.1116